# 1
Starting from a structure optimized by DFT (GGA-PBE), the powder X-ray diffraction pattern of ZrAsRu was simulated for Cu Kα X-rays.
Neutral-atom scattering factors, no anomalous dispersion.

Most intense lines, 2θ from 10° to 80°, in order of falling intensity:
index, two_theta, I_rel
2 0 1, 38.8, 100
1 1 1, 35.3, 96
2 1 0, 41.5, 57
0 0 2, 46.0, 34
2 1 1, 47.8, 33
2 1 2, 63.7, 31
3 2 1, 76.1, 26
3 0 0, 47.4, 22

Atomic structure:
Cell: 6.6412 6.6412 3.9444 Å, 90.00 90.00 120.00°
Space group P-62m (No. 189)
Asymmetric unit:
Zr: 0.0000 0.5823 0.0000
As: 0.0000 0.0000 0.0000
As: 0.3333 0.6667 0.5000
Ru: 0.0000 0.2437 0.5000

---

# 2
Starting from a structure optimized by DFT (GGA-PBE), the powder X-ray diffraction pattern of As4S3 was simulated for Cu Kα X-rays.
Neutral-atom scattering factors, no anomalous dispersion.

Most intense lines, 2θ from 10° to 80°, in order of falling intensity:
index, two_theta, I_rel
1 1 1, 15.8, 100
0 1 1, 12.8, 52
2 1 2, 26.5, 46
2 0 1, 20.0, 36
1 2 2, 27.5, 26
0 3 1, 31.3, 21
3 0 1, 28.7, 20
1 1 2, 21.1, 20

Atomic structure:
Cell: 9.745 8.867 10.945 Å, 90.00 90.00 90.00°
Space group Pnma (No. 62)
Asymmetric unit:
As: 0.008 0.250 0.071
As: 0.151 0.607 0.789
As: 0.166 0.250 0.550
S: 0.110 0.750 0.104
S: 0.173 0.058 0.414

---

# 3
Starting from a structure optimized by DFT (GGA-PBE), the powder X-ray diffraction pattern of AsS2 was simulated for Cu Kα X-rays.
Neutral-atom scattering factors, no anomalous dispersion.

Most intense lines, 2θ from 10° to 80°, in order of falling intensity:
index, two_theta, I_rel
2 1 -2, 30.2, 100
1 1 2, 30.3, 97
0 4 0, 34.5, 69
1 5 2, 53.2, 51
0 2 0, 17.1, 46
1 2 1, 25.8, 43
1 2 0, 21.2, 41
1 1 0, 15.2, 38

Atomic structure:
Cell: 7.366 10.391 8.150 Å, 90.00 106.30 90.00°
Space group P2_1 (No. 4)
Asymmetric unit:
As: 0.039 0.000 0.376
As: 0.112 0.489 0.157
As: 0.264 0.704 0.935
As: 0.404 0.702 0.467
S: 0.050 0.709 0.662
S: 0.060 0.704 0.110
S: 0.237 0.027 0.654
S: 0.272 0.995 0.227
S: 0.312 0.489 0.979
S: 0.314 0.492 0.432
S: 0.365 0.204 0.680
S: 0.402 0.172 0.251

---

# 4
Starting from a structure optimized by DFT (GGA-PBE), the powder X-ray diffraction pattern of As4S3 was simulated for Cu Kα X-rays.
Neutral-atom scattering factors, no anomalous dispersion.

Most intense lines, 2θ from 10° to 80°, in order of falling intensity:
index, two_theta, I_rel
0 2 0, 16.4, 100
2 1 0, 16.8, 75
2 1 1, 21.0, 67
2 4 1, 38.7, 66
1 0 1, 14.5, 65
1 2 1, 22.0, 48
0 3 1, 27.8, 47
3 1 1, 26.7, 47

Atomic structure:
Cell: 12.124 10.788 7.077 Å, 90.00 90.00 90.00°
Space group Pnma (No. 62)
Asymmetric unit:
As: 0.072 0.133 0.224
As: 0.075 0.750 0.601
As: 0.180 0.250 0.660
S: 0.006 0.750 0.307
S: 0.194 0.092 0.452

---

# 5
Starting from a structure optimized by DFT (GGA-PBE), the powder X-ray diffraction pattern of As24S25 was simulated for Cu Kα X-rays.
Neutral-atom scattering factors, no anomalous dispersion.

Most intense lines, 2θ from 10° to 80°, in order of falling intensity:
index, two_theta, I_rel
1 0 1, 13.7, 100
0 1 2, 11.3, 45
-1 1 2, 18.9, 34
0 0 3, 11.0, 32
1 0 -2, 15.1, 31
0 0 4, 14.7, 26
2 2 -4, 34.5, 25
2 2 2, 29.8, 23

Atomic structure:
Cell: 6.875 9.335 24.397 Å, 81.33 88.31 77.64°
Space group P1 (No. 1)
Asymmetric unit:
As: 0.000 0.000 0.000
As: 0.004 0.379 0.127
As: 0.010 0.530 0.600
As: 0.028 0.465 0.502
As: 0.125 0.940 0.102
As: 0.137 0.240 0.988
As: 0.173 0.689 0.203
As: 0.279 0.369 0.848
As: 0.307 0.506 0.134
As: 0.337 0.919 0.673
As: 0.395 0.930 0.252
As: 0.465 0.219 0.637
As: 0.470 0.987 0.759
As: 0.514 0.161 0.974
As: 0.514 0.436 0.997
As: 0.523 0.665 0.848
As: 0.566 0.453 0.789
As: 0.606 0.010 0.545
As: 0.680 0.414 0.526
As: 0.700 0.010 0.290
As: 0.767 0.371 0.328
As: 0.789 0.170 0.587
As: 0.880 0.833 0.494
As: 0.906 0.062 0.203
S: 0.044 0.768 0.580
S: 0.049 0.963 0.442
S: 0.061 0.253 0.215
S: 0.086 0.304 0.784
S: 0.164 0.749 0.730
S: 0.196 0.226 0.530
S: 0.200 0.772 0.810
S: 0.227 0.203 0.081
S: 0.283 0.834 0.032
S: 0.345 0.605 0.927
S: 0.431 0.175 0.475
S: 0.437 0.523 0.341
S: 0.456 0.648 0.267
S: 0.468 0.891 0.168
S: 0.473 0.139 0.884
S: 0.522 0.340 0.193
S: 0.598 0.192 0.722
S: 0.642 0.813 0.708
S: 0.669 0.546 0.599
S: 0.678 0.199 0.140
S: 0.819 0.467 0.993
S: 0.839 0.287 0.834
S: 0.898 0.297 0.405
S: 0.922 0.788 0.321
S: 0.936 0.624 0.271

---

# 6
Starting from a structure optimized by DFT (GGA-PBE), the powder X-ray diffraction pattern of Sb2AsS2 was simulated for Cu Kα X-rays.
Neutral-atom scattering factors, no anomalous dispersion.

Most intense lines, 2θ from 10° to 80°, in order of falling intensity:
index, two_theta, I_rel
1 1 2, 30.5, 100
1 1 -3, 30.9, 60
4 0 -2, 32.5, 57
2 0 -3, 22.7, 47
2 0 1, 22.0, 38
5 1 0, 50.8, 35
3 1 -4, 39.0, 29
1 1 0, 24.0, 27

Atomic structure:
Cell: 11.020 4.006 12.577 Å, 90.00 114.11 90.00°
Space group C2/m (No. 12)
Asymmetric unit:
Sb: 0.091 0.000 0.402
Sb: 0.217 0.500 0.172
As: 0.117 0.000 0.012
S: 0.030 0.500 0.239
S: 0.177 0.500 0.577

---

# 7
Starting from a structure optimized by DFT (GGA-PBE), the powder X-ray diffraction pattern of Tl5Sb10As3S22 was simulated for Cu Kα X-rays.
Neutral-atom scattering factors, no anomalous dispersion.

Most intense lines, 2θ from 10° to 80°, in order of falling intensity:
index, two_theta, I_rel
0 0 5, 25.6, 100
0 2 -1, 21.3, 88
2 0 0, 24.9, 79
-2 2 2, 29.8, 54
1 -4 2, 40.8, 50
0 2 -5, 29.3, 49
2 -1 3, 28.0, 47
2 0 -5, 33.8, 46

Atomic structure:
Cell: 7.656 8.862 17.997 Å, 103.47 91.47 109.77°
Space group P1 (No. 1)
Asymmetric unit:
Tl: 0.000 0.000 0.000
Tl: 0.029 0.574 0.161
Tl: 0.461 0.289 0.371
Tl: 0.547 0.893 0.563
Tl: 0.915 0.393 0.808
Sb: 0.070 0.848 0.591
Sb: 0.095 0.313 0.578
Sb: 0.398 0.439 0.781
Sb: 0.473 0.823 0.983
Sb: 0.518 0.421 0.996
Sb: 0.546 0.713 0.203
Sb: 0.645 0.437 0.597
Sb: 0.810 0.846 0.775
Sb: 0.942 0.865 0.377
Sb: 0.993 0.466 0.394
As: 0.370 0.975 0.804
As: 0.495 0.190 0.153
As: 0.982 0.087 0.214
S: 0.144 0.361 0.277
S: 0.147 0.966 0.273
S: 0.193 0.742 0.382
S: 0.195 0.087 0.508
S: 0.227 0.791 0.875
S: 0.246 0.500 0.494
S: 0.262 0.536 0.981
S: 0.283 0.192 0.865
S: 0.303 0.915 0.094
S: 0.323 0.326 0.101
S: 0.506 0.674 0.697
S: 0.538 0.258 0.693
S: 0.675 0.062 0.856
S: 0.675 0.605 0.874
S: 0.714 0.590 0.278
S: 0.716 0.023 0.275
S: 0.729 0.720 0.093
S: 0.730 0.225 0.082
S: 0.776 0.219 0.513
S: 0.797 0.682 0.495
S: 0.925 0.026 0.676
S: 0.950 0.607 0.673

---

# 8
Starting from a structure optimized by DFT (GGA-PBE), the powder X-ray diffraction pattern of Tl5Sb10As3S22 was simulated for Cu Kα X-rays.
Neutral-atom scattering factors, no anomalous dispersion.

Most intense lines, 2θ from 10° to 80°, in order of falling intensity:
index, two_theta, I_rel
0 0 5, 25.6, 100
0 2 -3, 23.4, 73
2 0 0, 24.9, 71
2 -2 1, 26.8, 56
0 2 1, 23.9, 47
0 2 -4, 26.0, 41
1 -1 3, 19.2, 41
1 1 -3, 21.8, 39

Atomic structure:
Cell: 7.656 8.862 17.997 Å, 103.47 91.47 109.77°
Space group P1 (No. 1)
Asymmetric unit:
Tl: 0.000 0.000 0.000
Tl: 0.029 0.413 0.161
Tl: 0.461 0.919 0.371
Tl: 0.547 0.330 0.563
Tl: 0.915 0.585 0.808
Sb: 0.070 0.257 0.591
Sb: 0.095 0.735 0.578
Sb: 0.398 0.658 0.781
Sb: 0.473 0.840 0.983
Sb: 0.518 0.424 0.996
Sb: 0.546 0.509 0.203
Sb: 0.645 0.840 0.597
Sb: 0.810 0.071 0.775
Sb: 0.942 0.488 0.377
Sb: 0.993 0.073 0.394
As: 0.370 0.171 0.804
As: 0.495 0.038 0.153
As: 0.982 0.873 0.214
S: 0.144 0.084 0.277
S: 0.147 0.692 0.273
S: 0.193 0.360 0.382
S: 0.195 0.579 0.508
S: 0.227 0.916 0.875
S: 0.246 0.006 0.494
S: 0.262 0.555 0.981
S: 0.283 0.327 0.865
S: 0.303 0.822 0.094
S: 0.323 0.226 0.101
S: 0.506 0.976 0.697
S: 0.538 0.565 0.693
S: 0.675 0.206 0.856
S: 0.675 0.731 0.874
S: 0.714 0.311 0.278
S: 0.716 0.748 0.275
S: 0.729 0.627 0.093
S: 0.730 0.143 0.082
S: 0.776 0.706 0.513
S: 0.797 0.187 0.495
S: 0.925 0.350 0.676
S: 0.950 0.934 0.673